[1]
KNaLi: calculated powder XRD pattern (Cu Kα (λ = 1.5418 Å)), based on DFT lattice parameters and positions (PBE).
Kinematic intensities with the Lorentz-polarization factor, no thermal factor.

The 8 most intense peaks (5 to 70 degrees two-theta), by angle:
Position (°2θ)  intensity
20.78  58
21.42  22
22.08  100
25.93  46
26.83  32
32.16  34
34.27  28
34.61  19

Structure:
```
data_KNaLi
_chemical_formula_sum 'K2 Na2 Li2'
_cell_length_a 4.6229
_cell_length_b 5.4767
_cell_length_c 11.5265
_cell_angle_alpha 78.60
_cell_angle_beta 86.53
_cell_angle_gamma 68.08
_symmetry_space_group_name_H-M 'P 1'
_symmetry_Int_Tables_number 1
_symmetry_space_group_name_Hall 'P 1'
loop_
_atom_site_label
_atom_site_fract_x
_atom_site_fract_y
_atom_site_fract_z
_atom_site_occupancy
K1 0.1908 0.1686 0.1489 1
K2 0.8092 0.8314 0.8511 1
Na1 0.4792 0.4952 0.6474 1
Na2 0.5208 0.5048 0.3526 1
Li1 0.1643 0.1628 0.5305 1
Li2 0.8357 0.8372 0.4695 1
```



[2]
NaCu2H8Rh3: calculated powder XRD pattern (Cu Kα (λ = 1.5418 Å)), based on DFT lattice parameters and positions (PBE).
Kinematic intensities with the Lorentz-polarization factor, no thermal factor.

The 8 most intense peaks (5 to 70 degrees two-theta), by angle:
Position (°2θ)  intensity
19.32  58
20.02  49
37.35  78
37.74  89
38.51  44
39.22  100
46.04  39
66.12  32

Structure:
```
data_NaCu2H8Rh3
_chemical_formula_sum 'Na1 Cu2 H8 Rh3'
_cell_length_a 5.5059
_cell_length_b 5.5059
_cell_length_c 5.5059
_cell_angle_alpha 61.77
_cell_angle_beta 61.77
_cell_angle_gamma 61.77
_symmetry_space_group_name_H-M 'P 1'
_symmetry_Int_Tables_number 1
_symmetry_space_group_name_Hall 'P 1'
loop_
_atom_site_label
_atom_site_fract_x
_atom_site_fract_y
_atom_site_fract_z
_atom_site_occupancy
Na1 0.0000 0.0000 0.0000 1
Cu1 0.3814 0.3814 0.3814 1
Cu2 0.7554 0.7554 0.7554 1
H1 0.1486 0.1486 0.5484 1
H2 0.1486 0.5484 0.1486 1
H3 0.1539 0.1539 0.1539 1
H4 0.1609 0.6363 0.6363 1
H5 0.5484 0.1486 0.1486 1
H6 0.6227 0.6227 0.6227 1
H7 0.6363 0.1609 0.6363 1
H8 0.6363 0.6363 0.1609 1
Rh1 0.3813 0.3813 0.8766 1
Rh2 0.3813 0.8766 0.3813 1
Rh3 0.8766 0.3813 0.3813 1
```



[3]
K3P2AuSe8: calculated powder XRD pattern (Cu Kα (λ = 1.5418 Å)), based on DFT lattice parameters and positions (PBE).
Kinematic intensities with the Lorentz-polarization factor, no thermal factor.

The 8 most intense peaks (5 to 70 degrees two-theta), by angle:
Position (°2θ)  intensity
9.31  66
14.46  26
16.18  47
28.40  100
28.52  38
29.16  42
30.60  26
32.92  29

Structure:
```
data_K3P2AuSe8
_chemical_formula_sum 'K6 P4 Au2 Se16'
_cell_length_a 7.3323
_cell_length_b 7.3323
_cell_length_c 19.1137
_cell_angle_alpha 93.16
_cell_angle_beta 93.16
_cell_angle_gamma 120.92
_symmetry_space_group_name_H-M 'P 1'
_symmetry_Int_Tables_number 1
_symmetry_space_group_name_Hall 'P 1'
loop_
_atom_site_label
_atom_site_fract_x
_atom_site_fract_y
_atom_site_fract_z
_atom_site_occupancy
K1 0.0691 0.9309 0.5000 1
K2 0.1549 0.5981 0.7070 1
K3 0.2488 0.4622 0.3519 1
K4 0.4622 0.2488 0.8519 1
K5 0.5981 0.1549 0.2070 1
K6 0.9309 0.0691 0.0000 1
P1 0.2529 0.7889 0.9825 1
P2 0.7889 0.2529 0.4825 1
P3 0.8786 0.9984 0.7284 1
P4 0.9984 0.8786 0.2284 1
Au1 0.5187 0.6222 0.1077 1
Au2 0.6222 0.5187 0.6077 1
Se1 0.0639 0.7426 0.8837 1
Se2 0.0759 0.1757 0.1847 1
Se3 0.1106 0.6796 0.1656 1
Se4 0.1188 0.4879 0.5216 1
Se5 0.1757 0.0759 0.6847 1
Se6 0.1975 0.9148 0.3236 1
Se7 0.3927 0.5744 0.9830 1
Se8 0.4879 0.1188 0.0216 1
Se9 0.5744 0.3927 0.4830 1
Se10 0.6288 0.9597 0.5472 1
Se11 0.6410 0.6530 0.2321 1
Se12 0.6530 0.6410 0.7321 1
Se13 0.6796 0.1106 0.6656 1
Se14 0.7426 0.0639 0.3837 1
Se15 0.9148 0.1975 0.8236 1
Se16 0.9597 0.6288 0.0472 1
```



[4]
BaBeAs2: calculated powder XRD pattern (Cu Kα (λ = 1.5418 Å)), based on DFT lattice parameters and positions (PBE).
Kinematic intensities with the Lorentz-polarization factor, no thermal factor.

The 8 most intense peaks (5 to 70 degrees two-theta), by angle:
Position (°2θ)  intensity
22.41  26
29.38  100
34.89  30
35.08  16
35.34  31
41.62  16
45.03  32
54.36  17

Structure:
```
data_BaBeAs2
_chemical_formula_sum 'Ba2 Be2 As4'
_cell_length_a 11.9300
_cell_length_b 4.0272
_cell_length_c 11.9405
_cell_angle_alpha 80.14
_cell_angle_beta 19.43
_cell_angle_gamma 80.43
_symmetry_space_group_name_H-M 'P 1'
_symmetry_Int_Tables_number 1
_symmetry_space_group_name_Hall 'P 1'
loop_
_atom_site_label
_atom_site_fract_x
_atom_site_fract_y
_atom_site_fract_z
_atom_site_occupancy
Ba1 0.1158 0.8842 0.1158 1
Ba2 0.8842 0.1158 0.8842 1
Be1 0.2527 0.2527 0.2473 1
Be2 0.7527 0.7527 0.7473 1
As1 0.3072 0.6968 0.3032 1
As2 0.5114 0.9461 0.4886 1
As3 0.6968 0.3072 0.6928 1
As4 0.9461 0.5114 0.0539 1
```



[5]
Nb4MoIr5: calculated powder XRD pattern (Cu Kα (λ = 1.5418 Å)), based on DFT lattice parameters and positions (PBE).
Kinematic intensities with the Lorentz-polarization factor, no thermal factor.

The 8 most intense peaks (5 to 70 degrees two-theta), by angle:
Position (°2θ)  intensity
22.74  10
31.36  9
39.08  100
44.94  34
46.44  15
50.94  5
65.43  11
66.61  20

Structure:
```
data_Nb4MoIr5
_chemical_formula_sum 'Nb4 Mo1 Ir5'
_cell_length_a 2.8527
_cell_length_b 2.8527
_cell_length_c 19.5534
_cell_angle_alpha 90.00
_cell_angle_beta 90.00
_cell_angle_gamma 90.00
_symmetry_space_group_name_H-M 'P 1'
_symmetry_Int_Tables_number 1
_symmetry_space_group_name_Hall 'P 1'
loop_
_atom_site_label
_atom_site_fract_x
_atom_site_fract_y
_atom_site_fract_z
_atom_site_occupancy
Nb1 0.0000 0.0000 0.1006 1
Nb2 0.0000 0.0000 0.3007 1
Nb3 0.0000 0.0000 0.6993 1
Nb4 0.0000 0.0000 0.8994 1
Mo1 0.0000 0.0000 0.5000 1
Ir1 0.5000 0.5000 0.0000 1
Ir2 0.5000 0.5000 0.2006 1
Ir3 0.5000 0.5000 0.4050 1
Ir4 0.5000 0.5000 0.5950 1
Ir5 0.5000 0.5000 0.7994 1
```



[6]
Na2SiGeAu6: calculated powder XRD pattern (Cu Kα (λ = 1.5418 Å)), based on DFT lattice parameters and positions (PBE).
Kinematic intensities with the Lorentz-polarization factor, no thermal factor.

The 8 most intense peaks (5 to 70 degrees two-theta), by angle:
Position (°2θ)  intensity
21.17  56
29.04  78
36.65  100
37.53  65
39.91  55
42.71  68
47.79  53
55.94  50

Structure:
```
data_Na2SiGeAu6
_chemical_formula_sum 'Na4 Si2 Ge2 Au12'
_cell_length_a 5.8383
_cell_length_b 9.0353
_cell_length_c 8.3935
_cell_angle_alpha 90.00
_cell_angle_beta 90.00
_cell_angle_gamma 90.00
_symmetry_space_group_name_H-M 'P 1'
_symmetry_Int_Tables_number 1
_symmetry_space_group_name_Hall 'P 1'
loop_
_atom_site_label
_atom_site_fract_x
_atom_site_fract_y
_atom_site_fract_z
_atom_site_occupancy
Na1 0.2500 0.0084 0.2250 1
Na2 0.2500 0.4916 0.2250 1
Na3 0.7500 0.5084 0.7750 1
Na4 0.7500 0.9916 0.7750 1
Si1 0.2500 0.2500 0.7483 1
Si2 0.7500 0.7500 0.2517 1
Ge1 0.2500 0.7500 0.7717 1
Ge2 0.7500 0.2500 0.2283 1
Au1 0.0012 0.2500 0.9810 1
Au2 0.0010 0.7500 0.5012 1
Au3 0.2500 0.0011 0.6289 1
Au4 0.2500 0.4989 0.6289 1
Au5 0.4988 0.2500 0.9810 1
Au6 0.4990 0.7500 0.5012 1
Au7 0.5010 0.2500 0.4988 1
Au8 0.5012 0.7500 0.0190 1
Au9 0.7500 0.5011 0.3711 1
Au10 0.7500 0.9989 0.3711 1
Au11 0.9990 0.2500 0.4988 1
Au12 0.9988 0.7500 0.0190 1
```